This entry pairs a crystal structure of RbMg6Cr with its calculated powder diffractogram. Radiation: a wavelength of 1.5418 Å. Structure: a cell relaxed with GGA-PBE.
Neutral-atom scattering factors, no anomalous dispersion.

Cell and atoms:
```
8
Lattice="5.2424 0.0000 0.0000 0.0000 3.4413 5.9643 0.0000 -3.4413 5.9643" Properties=species:S:1:pos:R:3 pbc="T T T"
Rb 0.0000 0.0000 0.0000
Mg 0.0000 0.0000 5.8563
Mg 0.0000 -1.5667 8.9455
Mg 0.0000 1.5667 8.9455
Mg 2.6212 0.0000 3.8817
Mg 2.6212 -1.5219 7.0287
Mg 2.6212 1.5219 7.0287
Cr 2.6212 0.0000 9.4941
```

The 8 most intense peaks (2θ from 10° to 80°), in order of rising 2θ:
two_theta, Rel. int.
14.9, 21
22.6, 33
30.0, 26
34.2, 25
34.6, 100
46.1, 15
61.5, 17
64.8, 16